# 1
Structure and simulated powder diffraction line list of NdHo6In2 (a structure optimized by DFT (GGA-PBE); Cu Kα (λ = 1.5418 Å)).
Peak positions follow from Bragg's law for the DFT cell and can differ from measured ones.

Principal peaks in the range 2θ = 5–70°, by intensity:
| two_theta | intensity | (hkl) |
| --- | --- | --- |
| 32.82 | 100 | 1 1 -3 |
| 32.66 | 96 | 3 1 0 |
| 31.43 | 54 | 2 0 3 |
| 31.76 | 49 | 4 0 -3 |
| 59.05 | 18 | 2 2 3 |
| 48.62 | 18 | 0 2 0 |

Cell and atoms:
Lattice parameters (Å, degrees): 12.676 3.745 11.953 90.00 107.73 90.00
Space group C2/m (No. 12)
Inequivalent atoms, fractional coordinates:
Nd 0.000 0.000 0.000 (multiplicity 2)
Ho 0.013 0.000 0.346 (multiplicity 4)
Ho 0.187 0.500 0.874 (multiplicity 4)
Ho 0.190 0.500 0.582 (multiplicity 4)
In 0.145 0.500 0.216 (multiplicity 4)



# 2
Structure and simulated powder diffraction line list of Nd15Ho4In (a structure optimized by DFT (GGA-PBE); Cu Kα (λ = 1.5418 Å)).
Peak positions follow from Bragg's law for the DFT cell and can differ from measured ones.

Principal peaks in the range 2θ = 5–70°, by intensity:
| two_theta | intensity | (hkl) |
| --- | --- | --- |
| 30.23 | 100 | 1 1 5 |
| 35.15 | 34 | 2 0 0 |
| 60.05 | 28 | 3 1 5 |
| 50.34 | 24 | 2 0 10 |
| 34.86 | 17 | 0 0 10 |
| 59.66 | 14 | 1 1 15 |

Cell and atoms:
Lattice parameters (Å, degrees): 5.106 5.106 25.740 90.00 90.00 90.00
Space group P4/mmm (No. 123)
Inequivalent atoms, fractional coordinates:
Nd 0.000 0.000 0.000 (multiplicity 1)
Nd 0.000 0.000 0.197 (multiplicity 2)
Nd 0.000 0.000 0.399 (multiplicity 2)
Nd 0.000 0.500 0.097 (multiplicity 4)
Nd 0.000 0.500 0.299 (multiplicity 4)
Nd 0.000 0.500 0.500 (multiplicity 2)
Ho 0.500 0.500 0.198 (multiplicity 2)
Ho 0.500 0.500 0.400 (multiplicity 2)
In 0.500 0.500 0.000 (multiplicity 1)



# 3
Structure and simulated powder diffraction line list of Nd7Ho3In (a structure optimized by DFT (GGA-PBE); Cu Kα (λ = 1.5418 Å)).
Peak positions follow from Bragg's law for the DFT cell and can differ from measured ones.

Principal peaks in the range 2θ = 5–70°, by intensity:
| two_theta | intensity | (hkl) |
| --- | --- | --- |
| 30.86 | 100 | 0 2 1 |
| 35.86 | 67 | 2 0 2 |
| 31.12 | 32 | 0 0 3 |
| 61.36 | 28 | 2 2 3 |
| 51.44 | 24 | 2 2 0 |
| 51.79 | 23 | 0 2 4 |

Cell and atoms:
Lattice parameters (Å, degrees): 7.1051 7.1051 8.6209 90.00 90.00 120.00
Space group P3m1 (No. 156)
Inequivalent atoms, fractional coordinates:
Nd 0.0000 0.0000 0.0000 (multiplicity 1)
Nd 0.1644 0.3288 0.3413 (multiplicity 3)
Nd 0.5024 0.0048 0.0079 (multiplicity 3)
Ho 0.3333 0.1667 0.6707 (multiplicity 3)
In 0.6667 0.3333 0.3512 (multiplicity 1)



# 4
Structure and simulated powder diffraction line list of Nd3HoIn12 (a structure optimized by DFT (GGA-PBE); Cu Kα (λ = 1.5418 Å)).
Peak positions follow from Bragg's law for the DFT cell and can differ from measured ones.

Principal peaks in the range 2θ = 5–70°, by intensity:
| two_theta | intensity | (hkl) |
| --- | --- | --- |
| 33.02 | 100 | 1 1 4 |
| 38.36 | 33 | 2 0 0 |
| 66.00 | 26 | 3 1 4 |
| 55.26 | 22 | 2 0 8 |
| 38.21 | 17 | 0 0 8 |
| 65.79 | 13 | 1 1 12 |

Cell and atoms:
Lattice parameters (Å, degrees): 4.693 4.693 18.845 90.00 90.00 90.00
Space group P4/mmm (No. 123)
Inequivalent atoms, fractional coordinates:
Nd 0.000 0.000 0.000 (multiplicity 1)
Nd 0.000 0.000 0.253 (multiplicity 2)
Ho 0.000 0.000 0.500 (multiplicity 1)
In 0.000 0.500 0.126 (multiplicity 4)
In 0.000 0.500 0.379 (multiplicity 4)
In 0.500 0.500 0.000 (multiplicity 1)
In 0.500 0.500 0.251 (multiplicity 2)
In 0.500 0.500 0.500 (multiplicity 1)



# 5
Structure and simulated powder diffraction line list of Nd3HoIn4 (a structure optimized by DFT (GGA-PBE); Cu Kα (λ = 1.5418 Å)).
Peak positions follow from Bragg's law for the DFT cell and can differ from measured ones.

Principal peaks in the range 2θ = 5–70°, by intensity:
| two_theta | intensity | (hkl) |
| --- | --- | --- |
| 32.89 | 100 | 1 0 4 |
| 33.09 | 50 | 1 1 0 |
| 58.98 | 37 | 2 1 4 |
| 47.49 | 18 | 2 0 0 |
| 58.59 | 18 | 1 1 8 |
| 68.96 | 11 | 2 0 8 |

Cell and atoms:
Lattice parameters (Å, degrees): 3.829 3.829 15.498 90.00 90.00 90.00
Space group P4/mmm (No. 123)
Inequivalent atoms, fractional coordinates:
Nd 0.000 0.000 0.000 (multiplicity 1)
Nd 0.000 0.000 0.256 (multiplicity 2)
Ho 0.000 0.000 0.500 (multiplicity 1)
In 0.500 0.500 0.128 (multiplicity 2)
In 0.500 0.500 0.385 (multiplicity 2)



# 6
Structure and simulated powder diffraction line list of NdHoIn6 (a structure optimized by DFT (GGA-PBE); Cu Kα (λ = 1.5418 Å)).
Peak positions follow from Bragg's law for the DFT cell and can differ from measured ones.

Principal peaks in the range 2θ = 5–70°, by intensity:
| two_theta | intensity | (hkl) |
| --- | --- | --- |
| 33.21 | 100 | 1 1 2 |
| 38.53 | 50 | 2 0 0 |
| 66.35 | 39 | 3 1 2 |
| 55.63 | 33 | 2 2 0 |
| 69.71 | 11 | 2 2 4 |
| 18.99 | 2 | 0 0 2 |

Cell and atoms:
Lattice parameters (Å, degrees): 4.674 4.674 9.340 90.00 90.00 90.00
Space group P4/mmm (No. 123)
Inequivalent atoms, fractional coordinates:
Nd 0.000 0.000 0.000 (multiplicity 1)
Ho 0.000 0.000 0.500 (multiplicity 1)
In 0.000 0.500 0.255 (multiplicity 4)
In 0.500 0.500 0.000 (multiplicity 1)
In 0.500 0.500 0.500 (multiplicity 1)



# 7
Structure and simulated powder diffraction line list of NdHo5In6 (a structure optimized by DFT (GGA-PBE); Cu Kα (λ = 1.5418 Å)).
Peak positions follow from Bragg's law for the DFT cell and can differ from measured ones.

Principal peaks in the range 2θ = 5–70°, by intensity:
| two_theta | intensity | (hkl) |
| --- | --- | --- |
| 33.65 | 100 | 2 0 0 |
| 60.14 | 25 | 3 3 2 |
| 60.27 | 12 | 2 0 4 |
| 48.27 | 12 | 2 6 0 |
| 48.46 | 6 | 0 0 4 |
| 23.62 | 3 | 0 0 2 |

Cell and atoms:
Lattice parameters (Å, degrees): 5.331 16.006 7.513 90.00 90.00 90.00
Space group Cmmm (No. 65)
Inequivalent atoms, fractional coordinates:
Nd 0.000 0.000 0.000 (multiplicity 2)
Ho 0.000 0.000 0.500 (multiplicity 2)
Ho 0.000 0.333 0.000 (multiplicity 4)
Ho 0.000 0.336 0.500 (multiplicity 4)
In 0.000 0.170 0.255 (multiplicity 8)
In 0.000 0.500 0.254 (multiplicity 4)



# 8
Structure and simulated powder diffraction line list of Nd7Ho12In (a structure optimized by DFT (GGA-PBE); Cu Kα (λ = 1.5418 Å)).
Peak positions follow from Bragg's law for the DFT cell and can differ from measured ones.

Principal peaks in the range 2θ = 5–70°, by intensity:
| two_theta | intensity | (hkl) |
| --- | --- | --- |
| 30.76 | 100 | 1 0 3 |
| 35.62 | 34 | 2 2 0 |
| 51.35 | 24 | 1 5 -2 |
| 60.96 | 21 | 3 2 3 |
| 35.77 | 17 | -1 1 4 |
| 61.09 | 11 | 3 4 -3 |

Cell and atoms:
Lattice parameters (Å, degrees): 6.171 9.426 11.228 96.88 100.28 90.06
Space group P-1 (No. 2)
Inequivalent atoms, fractional coordinates:
Nd 0.000 0.000 0.000 (multiplicity 1)
Nd 0.151 0.353 0.945 (multiplicity 2)
Nd 0.205 0.801 0.600 (multiplicity 2)
Nd 0.248 0.255 0.252 (multiplicity 2)
Ho 0.054 0.450 0.645 (multiplicity 2)
Ho 0.094 0.903 0.302 (multiplicity 2)
Ho 0.301 0.699 0.903 (multiplicity 2)
Ho 0.350 0.154 0.550 (multiplicity 2)
Ho 0.401 0.601 0.208 (multiplicity 2)
Ho 0.452 0.052 0.847 (multiplicity 2)
In 0.500 0.500 0.500 (multiplicity 1)